[1]
For Y2Er8Tm3, the GGA-PBE geometry in Alexandria gives the calculated powder XRD pattern in this record (Cu Kα (λ = 1.5418 Å)).
Neutral-atom scattering factors, no anomalous dispersion.

The 10 most intense peaks (15 to 90 degrees two-theta), in order of falling intensity:
2theta	I/Imax
31.43	1000
32.28	519
32.07	453
32.63	429
24.14	368
40.71	189
57.03	186
37.35	168
63.61	149
49.31	139

Crystal structure
abc: 11.878 11.878 11.878
angles: 153.00 147.19 42.99
Element x y z (fractional)
Y: 0.223 0.223 0.000
Y: 0.777 0.777 0.000
Er: 0.075 0.075 0.000
Er: 0.088 0.349 0.739
Er: 0.319 0.819 0.500
Er: 0.390 0.651 0.739
Er: 0.610 0.349 0.261
Er: 0.681 0.181 0.500
Er: 0.912 0.651 0.261
Er: 0.925 0.925 0.000
Tm: 0.238 0.500 0.738
Tm: 0.500 0.000 0.500
Tm: 0.762 0.500 0.262

[2]
For PmSmGaPt, the GGA-PBE geometry in Alexandria gives the calculated powder XRD pattern in this record (Cu Kα (λ = 1.5418 Å)).
Neutral-atom scattering factors, no anomalous dispersion.

The 10 most intense peaks (15 to 90 degrees two-theta), in order of falling intensity:
2theta	I/Imax
31.25	1000
38.89	646
32.91	323
62.79	312
38.22	296
40.94	279
53.51	251
32.13	247
45.36	208
15.91	172

Crystal structure
abc: 4.409 3.998 11.143
angles: 90.00 90.00 90.00
Element x y z (fractional)
Pm: 0.000 0.000 0.000
Pm: 0.000 0.500 0.500
Sm: 0.500 0.000 0.283
Sm: 0.500 0.500 0.783
Ga: 0.500 0.000 0.570
Ga: 0.500 0.500 0.070
Pt: 0.000 0.000 0.721
Pt: 0.000 0.500 0.221

[3]
For BaLiNdIn, the GGA-PBE geometry in Alexandria gives the calculated powder XRD pattern in this record (Cu Kα (λ = 1.5418 Å)).
Neutral-atom scattering factors, no anomalous dispersion.

The 10 most intense peaks (15 to 90 degrees two-theta), in order of falling intensity:
2theta	I/Imax
31.17	1000
55.46	384
44.66	184
18.94	181
21.90	180
73.84	164
65.00	119
36.72	103
50.27	79
38.42	56

Crystal structure
abc: 8.117 8.117 8.117
angles: 90.00 90.00 90.00
Element x y z (fractional)
Ba: 0.000 0.000 0.000
Ba: 0.000 0.500 0.500
Ba: 0.500 0.000 0.500
Ba: 0.500 0.500 0.000
Li: 0.250 0.250 0.250
Li: 0.250 0.750 0.750
Li: 0.750 0.250 0.750
Li: 0.750 0.750 0.250
Nd: 0.000 0.000 0.500
Nd: 0.000 0.500 0.000
Nd: 0.500 0.000 0.000
Nd: 0.500 0.500 0.500
In: 0.250 0.250 0.750
In: 0.250 0.750 0.250
In: 0.750 0.250 0.250
In: 0.750 0.750 0.750